# MgFePbO3
Theoretical X-ray powder pattern, copper Kα. Input: the PBE+U geometry in the Materials Project.
No peak broadening, texture or thermal motion is included.

Structure:
```
data_MgFePbO3
_space_group_name_H-M_alt 'P 4/m m m'
_space_group_IT_number 123
_space_group_name_Hall '-P 4 2'
_cell_length_a 3.936
_cell_length_b 3.936
_cell_length_c 6.042
_cell_angle_alpha 90.00
_cell_angle_beta 90.00
_cell_angle_gamma 90.00
loop_
_atom_site_label
_atom_site_type_symbol
_atom_site_fract_x
_atom_site_fract_y
_atom_site_fract_z
Mg1 Mg 0.000 0.000 0.000
Fe1 Fe 0.500 0.500 0.000
Pb1 Pb 0.000 0.000 0.500
O1 O 0.000 0.500 0.000
O2 O 0.500 0.500 0.500
```

Principal peaks in the range 2θ from 5° to 70°, most intense first:
index, Position (°2θ), I (rel.)
1 0 1, 27.0, 100
1 1 0, 32.2, 49
0 0 2, 29.6, 48
1 1 2, 44.2, 42
1 0 0, 22.6, 36
2 1 1, 54.3, 31
2 0 2, 55.7, 30
1 1 1, 35.5, 30
2 0 0, 46.1, 28
1 0 2, 37.5, 21